Structure and calculated powder diffraction line list of Li9Mn2Co5O16 (a GGA+U-relaxed structure; Cu Kα (λ = 1.5418 Å)).
Kinematic intensities with the Lorentz-polarization factor, no thermal factor.

Structure:
```
32
Lattice="2.607 -1.441 0.000 2.607 1.441 0.000 -0.580 0.000 39.444" Properties=species:S:1:pos:R:3 pbc="T T T"
Li 0.000 0.000 0.000
Li 0.379 0.000 14.619
Li 0.884 0.000 29.619
Li 1.886 0.000 4.923
Li 2.107 0.000 12.304
Li 2.325 0.000 19.786
Li 2.744 0.000 34.498
Li 3.797 0.000 9.871
Li 4.185 0.000 24.567
Mn 2.534 0.000 27.092
Mn 3.969 0.000 17.256
Co 0.221 0.000 7.347
Co 0.650 0.000 22.167
Co 1.079 0.000 36.975
Co 3.551 0.000 2.440
Co 4.414 0.000 32.042
O 0.210 0.000 3.506
O 0.326 0.000 11.048
O 0.626 0.000 18.381
O 0.632 0.000 25.952
O 0.956 0.000 33.177
O 1.665 0.000 1.353
O 1.976 0.000 8.418
O 2.119 0.000 16.183
O 2.401 0.000 23.292
O 2.655 0.000 30.897
O 2.856 0.000 38.093
O 3.662 0.000 6.195
O 3.865 0.000 13.556
O 4.105 0.000 21.031
O 4.440 0.000 28.236
O 4.511 0.000 35.871
```

The 10 most intense peaks (2θ = 15–90°), in order of rising 2θ:
2θ = 18.0°, rel. 100
2θ = 34.8°, rel. 17
2θ = 36.2°, rel. 25
2θ = 37.5°, rel. 7
2θ = 41.8°, rel. 31
2θ = 43.7°, rel. 54
2θ = 47.0°, rel. 10
2θ = 57.3°, rel. 9
2θ = 61.8°, rel. 16
2θ = 62.4°, rel. 23